Structure and calculated X-ray diffraction stick pattern of CeTc4P4 (the GGA-PBE geometry in Alexandria; Cu Ka).
Kinematic intensities with the Lorentz-polarization factor, no thermal factor.

Cell and atoms:
a b c (Å): 5.972 5.972 7.877
angles (deg): 90.00 90.00 90.00
Space group P4_2/nmc (No. 137, origin choice 2)
One atom of each set of equivalent atoms:
Ce: 0.250 0.750 0.250 (multiplicity 2)
Tc: 0.006 0.250 0.123 (multiplicity 8)
P: 0.051 0.250 0.421 (multiplicity 8)

Top 6 peaks for 10° ≤ 2θ ≤ 90°, by angle:
two_theta, I/Imax, (hkl)
27.12, 19.9, 1 0 2
32.06, 23.7, 2 0 1
35.49, 100.0, 2 1 1
37.42, 44.9, 1 0 3
46.05, 24.4, 0 0 4
64.73, 27.9, 2 2 4